The following is a computed powder X-ray diffraction pattern of SrV2CuO7. It was derived from a cell relaxed with GGA+U, using Cu Kα, 1.54184 Å.
Peak positions follow from Bragg's law for the DFT cell and can differ from measured ones.

Peak list (12 most intense, 15 to 90 degrees two-theta, by intensity)
| Position (°2θ) | I (rel.) |
| --- | --- |
| 29.36 | 100.0 |
| 29.15 | 39.8 |
| 32.32 | 38.4 |
| 24.21 | 32.5 |
| 34.14 | 31.9 |
| 27.03 | 30.7 |
| 31.54 | 23.3 |
| 40.94 | 21.2 |
| 59.45 | 17.2 |
| 55.83 | 14.3 |
| 48.45 | 14.3 |
| 29.96 | 14.3 |

```
SrV2CuO7
1.0
14.705 0.000 0.000
0.000 5.539 0.000
0.000 0.000 7.516
Sr V Cu O
4 8 4 28
Cartesian
2.926 1.385 0.874
4.427 4.154 4.632
10.278 1.385 2.884
11.780 4.154 6.642
1.303 4.154 6.657
1.640 4.154 2.687
5.713 1.385 6.445
6.050 1.385 2.899
8.655 4.154 4.617
8.993 4.154 1.071
13.065 1.385 4.829
13.403 1.385 0.859
2.005 1.385 4.594
5.348 4.154 0.836
9.358 1.385 6.680
12.700 4.154 2.922
0.077 4.154 3.210
0.372 1.385 1.013
1.912 4.154 0.881
2.087 0.013 5.979
2.087 2.757 5.979
2.529 0.015 3.279
2.529 2.755 3.279
4.823 2.784 7.037
4.823 5.524 7.037
5.266 2.782 2.221
5.266 5.526 2.221
5.440 1.385 4.639
6.980 4.154 4.771
7.275 1.385 6.968
7.430 4.154 0.548
7.725 1.385 2.745
9.265 4.154 2.877
9.439 0.013 5.294
9.439 2.757 5.294
9.882 0.015 0.479
9.882 2.755 0.479
12.176 2.784 4.237
12.176 5.524 4.237
12.619 2.782 1.537
12.619 5.526 1.537
12.793 1.385 6.635
14.333 4.154 6.503
14.628 1.385 4.306
```